Record 1
Simulated X-ray diffraction stick pattern
Compound: Ho7AlSe5
Radiation: Cu Ka
Structure: a GGA-PBE-relaxed structure
Kinematic intensities with the Lorentz-polarization factor, no thermal factor.

Main lines, by angle (2θ = 15–90°):
h k l  2theta  I/Imax
1 1 3  27.62  38
2 0 5  29.14  76
3 1 -4  30.26  39
3 1 -5  30.95  100
3 1 0  32.07  57
2 0 -10  32.56  48
1 1 -10  41.11  38
5 1 -10  44.86  33
0 2 0  45.44  38
2 2 5  54.90  30

Cell lengths 13.3959, 3.9919, 27.5961 Å; angles 90.00, 119.03, 90.00 degrees
Space group C2/m (No. 12)
Symmetry-distinct sites (fractional):
Ho 0.0101 0.0000 0.3206 [4 per cell]
Ho 0.0240 0.5000 0.1197 [4 per cell]
Ho 0.1028 0.5000 0.4638 [4 per cell]
Ho 0.1320 0.0000 0.8207 [4 per cell]
Ho 0.1745 0.0000 0.0362 [4 per cell]
Ho 0.2147 0.0000 0.6197 [4 per cell]
Ho 0.2274 0.0000 0.2500 [4 per cell]
Al 0.0604 0.5000 0.2499 [4 per cell]
Se 0.0000 0.0000 0.5000 [2 per cell]
Se 0.0000 0.5000 0.0000 [2 per cell]
Se 0.0897 0.5000 0.6410 [4 per cell]
Se 0.1512 0.0000 0.9280 [4 per cell]
Se 0.1927 0.0000 0.1410 [4 per cell]
Se 0.2044 0.0000 0.4280 [4 per cell]


Record 2
Simulated X-ray diffraction stick pattern
Compound: HoAlSe3
Radiation: Cu Ka
Structure: a GGA-PBE-relaxed structure
Kinematic intensities with the Lorentz-polarization factor, no thermal factor.

Main lines, by angle (2θ = 15–90°):
h k l  2theta  I/Imax
0 4 0  15.01  53
0 3 1  17.47  84
0 5 1  23.11  36
1 1 1  26.21  66
1 3 1  28.35  100
0 6 2  35.37  54
1 7 1  37.36  37
1 4 2  38.34  72
1 10 0  44.52  59
2 0 0  45.19  38

Cell lengths 4.0140, 23.6086, 6.6418 Å; angles 90.00, 90.00, 90.00 degrees
Space group Ama2 (No. 40)
Symmetry-distinct sites (fractional):
Ho 0.2500 0.1746 0.0000 [4 per cell]
Al 0.2500 0.3718 0.9280 [4 per cell]
Se 0.2500 0.0826 0.2865 [4 per cell]
Se 0.2500 0.2786 0.7662 [4 per cell]
Se 0.2500 0.3802 0.2839 [4 per cell]


Record 3
Simulated X-ray diffraction stick pattern
Compound: Ho12Al7Si
Radiation: Cu Ka
Structure: a GGA-PBE-relaxed structure
Kinematic intensities with the Lorentz-polarization factor, no thermal factor.

Main lines, by angle (2θ = 15–90°):
h k l  2theta  I/Imax
0 0 4  23.45  41
3 1 0  24.26  28
2 1 3  24.58  42
4 1 1  32.36  99
3 3 0  32.75  39
3 2 3  33.00  49
3 1 4  33.99  100
4 1 3  36.54  28
4 1 7  53.34  45
6 2 4  55.66  25

Cell lengths 11.6014, 11.6014, 15.1745 Å; angles 90.00, 90.00, 90.00 degrees
Space group I4/mcm (No. 140)
Symmetry-distinct sites (fractional):
Ho 0.0000 0.5000 0.1472 [8 per cell]
Ho 0.0636 0.2002 0.1369 [32 per cell]
Ho 0.1717 0.3283 0.5000 [8 per cell]
Al 0.0000 0.0000 0.0000 [4 per cell]
Al 0.1190 0.3810 0.0000 [8 per cell]
Al 0.1781 0.3219 0.2965 [16 per cell]
Si 0.0000 0.0000 0.2500 [4 per cell]


Record 4
Simulated X-ray diffraction stick pattern
Compound: Sm3HoAl3
Radiation: Cu Ka
Structure: a GGA-PBE-relaxed structure
Kinematic intensities with the Lorentz-polarization factor, no thermal factor.

Main lines, by angle (2θ = 15–90°):
h k l  2theta  I/Imax
2 2 0  24.18  78
0 0 2  25.52  35
0 4 0  34.06  28
4 0 0  34.87  25
2 2 2  35.45  100
0 4 2  43.04  17
4 0 2  43.71  16
4 4 0  49.54  19
2 6 2  61.87  20
6 2 2  62.90  17

Cell lengths 10.2927, 10.5291, 6.9796 Å; angles 90.00, 90.00, 90.00 degrees
Space group Cmmm (No. 65)
Symmetry-distinct sites (fractional):
Sm 0.0000 0.2457 0.0000 [4 per cell]
Sm 0.2297 0.0000 0.5000 [4 per cell]
Sm 0.2484 0.0000 0.0000 [4 per cell]
Ho 0.0000 0.2510 0.5000 [4 per cell]
Al 0.0000 0.5000 0.2676 [4 per cell]
Al 0.2500 0.2500 0.2600 [8 per cell]


Record 5
Simulated X-ray diffraction stick pattern
Compound: SmHo2Al9
Radiation: Cu Ka
Structure: a GGA-PBE-relaxed structure
Kinematic intensities with the Lorentz-polarization factor, no thermal factor.

Main lines, by angle (2θ = 15–90°):
h k l  2theta  I/Imax
1 0 1  18.67  82
0 0 6  20.28  24
1 0 7  30.15  87
1 1 0  32.08  88
0 1 8  32.98  52
0 2 1  37.37  45
1 1 6  38.25  100
2 1 7  55.99  32
0 3 6  61.32  25
2 0 14  62.66  32

Cell lengths 5.5801, 5.5801, 26.2686 Å; angles 90.00, 90.00, 120.00 degrees
Space group R-3m (No. 166, hexagonal axes)
Symmetry-distinct sites (fractional):
Sm 0.0000 0.0000 0.0000 [3 per cell]
Ho 0.0000 0.0000 0.1421 [6 per cell]
Al 0.0000 0.0000 0.3355 [6 per cell]
Al 0.0000 0.0000 0.5000 [3 per cell]
Al 0.0075 0.5037 0.9162 [18 per cell]


Record 6
Simulated X-ray diffraction stick pattern
Compound: Sm2Ho8Al
Radiation: Cu Ka
Structure: a GGA-PBE-relaxed structure
Kinematic intensities with the Lorentz-polarization factor, no thermal factor.

Main lines, by angle (2θ = 15–90°):
h k l  2theta  I/Imax
6 0 -1  30.43  36
5 1 -1  31.06  42
1 1 -2  32.46  90
5 1 1  32.56  100
0 2 0  32.84  57
6 2 -1  45.38  24
4 0 3  47.87  16
5 3 1  58.42  36
4 2 3  59.27  18
6 2 -3  60.82  15

Cell lengths 19.1595, 5.4545, 6.4251 Å; angles 90.00, 94.09, 90.00 degrees
Space group C2/m (No. 12)
Symmetry-distinct sites (fractional):
Sm 0.2422 0.0000 0.3326 [4 per cell]
Ho 0.0422 0.0000 0.2542 [4 per cell]
Ho 0.0773 0.5000 0.6039 [4 per cell]
Ho 0.1534 0.0000 0.8140 [4 per cell]
Ho 0.1568 0.5000 0.1227 [4 per cell]
Al 0.0000 0.5000 0.0000 [2 per cell]


Record 7
Simulated X-ray diffraction stick pattern
Compound: Sm3Ho2Al3
Radiation: Cu Ka
Structure: a GGA-PBE-relaxed structure
Kinematic intensities with the Lorentz-polarization factor, no thermal factor.

Main lines, by angle (2θ = 15–90°):
h k l  2theta  I/Imax
1 1 0  20.83  47
2 0 0  24.09  35
0 0 1  26.95  56
2 1 0  32.05  100
1 1 1  34.31  65
3 0 0  36.47  77
2 1 1  42.36  79
3 2 1  61.46  32
4 1 1  64.28  34
2 1 2  65.61  30

Cell lengths 8.5304, 8.5304, 3.3080 Å; angles 90.00, 90.00, 120.00 degrees
Space group P-62m (No. 189)
Symmetry-distinct sites (fractional):
Sm 0.0000 0.2435 0.0000 [3 per cell]
Ho 0.3333 0.6667 0.0000 [2 per cell]
Al 0.0000 0.6140 0.5000 [3 per cell]


Record 8
Simulated X-ray diffraction stick pattern
Compound: Ho7Al5Sn
Radiation: Cu Ka
Structure: a GGA-PBE-relaxed structure
Kinematic intensities with the Lorentz-polarization factor, no thermal factor.

Main lines, by angle (2θ = 15–90°):
h k l  2theta  I/Imax
0 2 2  24.42  56
2 0 0  29.18  83
1 0 3  29.36  41
1 3 0  30.29  86
1 2 3  34.42  46
1 3 2  34.87  100
1 1 4  38.31  38
2 2 2  38.42  56
3 3 2  55.49  38
2 6 0  63.04  35

Cell lengths 6.1204, 10.1032, 10.5157 Å; angles 90.00, 90.00, 90.00 degrees
Space group Imm2 (No. 44)
Symmetry-distinct sites (fractional):
Ho 0.0000 0.0000 0.0000 [2 per cell]
Ho 0.0000 0.0000 0.3717 [2 per cell]
Ho 0.0000 0.3176 0.5857 [4 per cell]
Ho 0.0000 0.3317 0.0761 [4 per cell]
Ho 0.0000 0.5000 0.3263 [2 per cell]
Al 0.0000 0.5000 0.8253 [2 per cell]
Al 0.2282 0.2475 0.8378 [8 per cell]
Sn 0.0000 0.0000 0.6791 [2 per cell]